(1)
AcPt6: computed XRD peak list (copper Kα), based on the PBE geometry in Alexandria.
No peak broadening, texture or thermal motion is included.

Cell and atoms:
Cell lengths 6.0613, 6.0613, 6.0613 Å; angles 90.00, 90.00, 90.00 degrees
Fractional positions:
Ac 0.0000 0.0000 0.0000
Pt 0.1953 0.5000 0.5000
Pt 0.5000 0.1953 0.5000
Pt 0.5000 0.5000 0.1953
Pt 0.5000 0.5000 0.8047
Pt 0.5000 0.8047 0.5000
Pt 0.8047 0.5000 0.5000

Largest 10 diffraction maxima, by intensity, 10 to 80 degrees two-theta:
44.86 deg, intensity 100
14.61 deg, intensity 65
47.43 deg, intensity 51
25.45 deg, intensity 51
20.72 deg, intensity 40
29.47 deg, intensity 34
65.31 deg, intensity 25
36.30 deg, intensity 18
71.30 deg, intensity 16
33.05 deg, intensity 15

(2)
Ac3Pt: computed XRD peak list (copper Kα), based on the PBE geometry in Alexandria.
No peak broadening, texture or thermal motion is included.

Cell and atoms:
Cell lengths 6.8633, 6.8633, 6.8633 Å; angles 145.69, 69.96, 121.11 degrees
Fractional positions:
Ac 0.0000 0.0000 0.0000
Ac 0.3121 0.4972 0.8149
Ac 0.6823 0.4972 0.1851
Pt 0.6675 0.1675 0.5000

Largest 10 diffraction maxima, by intensity, 10 to 80 degrees two-theta:
30.25 deg, intensity 100
27.21 deg, intensity 51
35.54 deg, intensity 44
26.42 deg, intensity 29
53.97 deg, intensity 27
47.12 deg, intensity 25
67.01 deg, intensity 18
15.31 deg, intensity 18
53.18 deg, intensity 17
44.76 deg, intensity 16

(3)
AcPu3Pt8: computed XRD peak list (copper Kα), based on the PBE geometry in Alexandria.
No peak broadening, texture or thermal motion is included.

Cell and atoms:
Cell lengths 5.5019, 5.5019, 9.0823 Å; angles 90.00, 90.00, 120.00 degrees
Fractional positions:
Ac 0.0000 0.0000 0.0000
Pu 0.0000 0.0000 0.3802
Pu 0.6667 0.3333 0.4890
Pu 0.6667 0.3333 0.8487
Pt 0.1654 0.3308 0.6768
Pt 0.1654 0.8346 0.6768
Pt 0.3333 0.6667 0.4298
Pt 0.3333 0.6667 0.9297
Pt 0.5024 0.0047 0.1857
Pt 0.5024 0.4976 0.1857
Pt 0.6692 0.8346 0.6768
Pt 0.9953 0.4976 0.1857

Largest 10 diffraction maxima, by intensity, 10 to 80 degrees two-theta:
38.25 deg, intensity 100
39.09 deg, intensity 84
35.12 deg, intensity 75
64.52 deg, intensity 36
32.55 deg, intensity 34
59.75 deg, intensity 32
68.18 deg, intensity 29
61.89 deg, intensity 25
39.70 deg, intensity 17
74.22 deg, intensity 16

(4)
AcPuPt10: computed XRD peak list (copper Kα), based on the PBE geometry in Alexandria.
No peak broadening, texture or thermal motion is included.

Cell and atoms:
Cell lengths 4.4307, 5.4607, 9.4482 Å; angles 90.00, 90.00, 90.00 degrees
Fractional positions:
Ac 0.0000 0.0000 0.0000
Pu 0.0000 0.5000 0.5000
Pt 0.0000 0.0000 0.3391
Pt 0.0000 0.0000 0.6609
Pt 0.0000 0.5000 0.1747
Pt 0.0000 0.5000 0.8253
Pt 0.5000 0.0000 0.5000
Pt 0.5000 0.2517 0.2537
Pt 0.5000 0.2517 0.7463
Pt 0.5000 0.5000 0.0000
Pt 0.5000 0.7483 0.2537
Pt 0.5000 0.7483 0.7463

Largest 10 diffraction maxima, by intensity, 10 to 80 degrees two-theta:
38.75 deg, intensity 100
43.39 deg, intensity 33
40.73 deg, intensity 32
38.08 deg, intensity 31
62.57 deg, intensity 25
32.82 deg, intensity 21
68.80 deg, intensity 20
27.59 deg, intensity 20
56.98 deg, intensity 19
72.82 deg, intensity 16

(5)
Ac2Pu3Pt4: computed XRD peak list (copper Kα), based on the PBE geometry in Alexandria.
No peak broadening, texture or thermal motion is included.

Cell and atoms:
Cell lengths 7.8479, 7.9009, 7.8532 Å; angles 90.00, 109.59, 90.00 degrees
Fractional positions:
Ac 0.1916 0.1755 0.0686
Ac 0.1916 0.3245 0.5686
Ac 0.8084 0.6755 0.4314
Ac 0.8084 0.8245 0.9314
Pu 0.2506 0.6664 0.2440
Pu 0.2506 0.8336 0.7440
Pu 0.5000 0.0000 0.5000
Pu 0.5000 0.5000 0.0000
Pu 0.7494 0.1664 0.2560
Pu 0.7494 0.3336 0.7560
Pt 0.0838 0.5421 0.8527
Pt 0.0838 0.9579 0.3527
Pt 0.4987 0.1307 0.8698
Pt 0.4987 0.3693 0.3698
Pt 0.5013 0.6307 0.6302
Pt 0.5013 0.8693 0.1302
Pt 0.9162 0.0421 0.6473
Pt 0.9162 0.4579 0.1473

Largest 10 diffraction maxima, by intensity, 10 to 80 degrees two-theta:
32.40 deg, intensity 100
32.52 deg, intensity 83
36.14 deg, intensity 68
30.05 deg, intensity 44
36.43 deg, intensity 39
36.20 deg, intensity 38
33.19 deg, intensity 33
55.40 deg, intensity 31
52.22 deg, intensity 25
67.60 deg, intensity 22

(6)
Ac4PuPt5: computed XRD peak list (copper Kα), based on the PBE geometry in Alexandria.
No peak broadening, texture or thermal motion is included.

Cell and atoms:
Cell lengths 7.5060, 7.5060, 7.5060 Å; angles 99.59, 99.59, 131.83 degrees
Fractional positions:
Ac 0.0975 0.2986 0.3960
Ac 0.2986 0.9025 0.2011
Ac 0.7014 0.0975 0.7989
Ac 0.9025 0.7014 0.6040
Pu 0.5000 0.5000 0.0000
Pt 0.0000 0.0000 0.0000
Pt 0.2120 0.5952 0.8072
Pt 0.4048 0.2120 0.6169
Pt 0.5952 0.7880 0.3831
Pt 0.7880 0.4048 0.1928

Largest 8 diffraction maxima, by intensity, 10 to 80 degrees two-theta:
29.14 deg, intensity 100
41.69 deg, intensity 77
68.47 deg, intensity 36
51.67 deg, intensity 28
76.09 deg, intensity 26
60.42 deg, intensity 13
25.17 deg, intensity 1
49.32 deg, intensity 1

(7)
RbAcPt: computed XRD peak list (copper Kα), based on the PBE geometry in Alexandria.
No peak broadening, texture or thermal motion is included.

Cell and atoms:
Cell lengths 5.1164, 5.1164, 13.1800 Å; angles 90.00, 90.00, 120.00 degrees
Fractional positions:
Rb 0.0000 0.0000 0.1772
Rb 0.0000 0.0000 0.8228
Ac 0.3333 0.6667 0.5952
Ac 0.6667 0.3333 0.4048
Pt 0.3333 0.6667 0.3638
Pt 0.6667 0.3333 0.6362

Largest 10 diffraction maxima, by intensity, 10 to 80 degrees two-theta:
21.15 deg, intensity 100
35.08 deg, intensity 94
28.61 deg, intensity 58
49.64 deg, intensity 53
35.75 deg, intensity 52
44.86 deg, intensity 52
33.90 deg, intensity 44
27.06 deg, intensity 33
39.79 deg, intensity 21
20.04 deg, intensity 21

(8)
Ac8Pt3Rh: computed XRD peak list (copper Kα), based on the PBE geometry in Alexandria.
No peak broadening, texture or thermal motion is included.

Cell and atoms:
Cell lengths 8.5214, 8.5214, 8.5214 Å; angles 63.09, 63.09, 63.09 degrees
Fractional positions:
Ac 0.2448 0.2448 0.2448
Ac 0.2523 0.7413 0.7413
Ac 0.2587 0.2587 0.7477
Ac 0.2587 0.7477 0.2587
Ac 0.7413 0.2523 0.7413
Ac 0.7413 0.7413 0.2523
Ac 0.7477 0.2587 0.2587
Ac 0.7552 0.7552 0.7552
Pt 0.0000 0.0000 0.5000
Pt 0.0000 0.5000 0.0000
Pt 0.5000 0.0000 0.0000
Rh 0.5000 0.5000 0.5000

Largest 10 diffraction maxima, by intensity, 10 to 80 degrees two-theta:
29.02 deg, intensity 100
40.47 deg, intensity 42
42.53 deg, intensity 35
24.66 deg, intensity 30
13.04 deg, intensity 26
50.58 deg, intensity 26
66.68 deg, intensity 21
69.61 deg, intensity 16
75.02 deg, intensity 14
60.15 deg, intensity 13

(9)
Ac5Pt4Rh: computed XRD peak list (copper Kα), based on the PBE geometry in Alexandria.
No peak broadening, texture or thermal motion is included.

Cell and atoms:
Cell lengths 11.5612, 11.5612, 11.5612 Å; angles 158.20, 149.00, 38.22 degrees
Fractional positions:
Ac 0.0000 0.0000 0.0000
Ac 0.2008 0.2008 0.0000
Ac 0.4035 0.4035 0.0000
Ac 0.5965 0.5965 0.0000
Ac 0.7992 0.7992 0.0000
Pt 0.1007 0.6007 0.5000
Pt 0.3012 0.8012 0.5000
Pt 0.6988 0.1988 0.5000
Pt 0.8993 0.3993 0.5000
Rh 0.5000 0.0000 0.5000

Largest 10 diffraction maxima, by intensity, 10 to 80 degrees two-theta:
28.89 deg, intensity 100
41.32 deg, intensity 77
67.81 deg, intensity 36
51.20 deg, intensity 28
75.33 deg, intensity 27
59.86 deg, intensity 13
24.95 deg, intensity 2
48.87 deg, intensity 1
65.87 deg, intensity 1
29.91 deg, intensity 1

(10)
Ac3Pt3Rh: computed XRD peak list (copper Kα), based on the PBE geometry in Alexandria.
No peak broadening, texture or thermal motion is included.

Cell and atoms:
Cell lengths 10.1174, 10.1174, 10.1174 Å; angles 155.70, 154.31, 35.65 degrees
Fractional positions:
Ac 0.0000 0.0000 0.0000
Ac 0.3661 0.3661 0.0000
Ac 0.6849 0.1849 0.5000
Pt 0.1196 0.6196 0.5000
Pt 0.5318 0.5318 0.0000
Pt 0.8334 0.8334 0.0000
Rh 0.2541 0.7541 0.5000

Largest 10 diffraction maxima, by intensity, 10 to 80 degrees two-theta:
30.36 deg, intensity 100
31.31 deg, intensity 36
38.34 deg, intensity 35
40.50 deg, intensity 32
34.47 deg, intensity 31
40.09 deg, intensity 31
42.46 deg, intensity 26
58.53 deg, intensity 21
27.79 deg, intensity 20
59.82 deg, intensity 19

(11)
Ac6PtRh3: computed XRD peak list (copper Kα), based on the PBE geometry in Alexandria.
No peak broadening, texture or thermal motion is included.

Cell and atoms:
Cell lengths 12.4217, 4.2983, 13.2473 Å; angles 90.00, 112.29, 90.00 degrees
Fractional positions:
Ac 0.0516 0.2500 0.4005
Ac 0.0959 0.7500 0.9338
Ac 0.2419 0.2500 0.7644
Ac 0.2480 0.7500 0.2620
Ac 0.3999 0.2500 0.5622
Ac 0.4370 0.2500 0.1034
Ac 0.5630 0.7500 0.8966
Ac 0.6001 0.7500 0.4378
Ac 0.7520 0.2500 0.7380
Ac 0.7581 0.7500 0.2356
Ac 0.9041 0.2500 0.0662
Ac 0.9484 0.7500 0.5995
Pt 0.1940 0.7500 0.5716
Pt 0.8060 0.2500 0.4284
Rh 0.0026 0.2500 0.7739
Rh 0.3343 0.7500 0.9387
Rh 0.4174 0.2500 0.3380
Rh 0.5826 0.7500 0.6620
Rh 0.6657 0.2500 0.0613
Rh 0.9974 0.7500 0.2261

Largest 10 diffraction maxima, by intensity, 10 to 80 degrees two-theta:
30.18 deg, intensity 100
28.89 deg, intensity 80
42.04 deg, intensity 49
27.30 deg, intensity 45
40.69 deg, intensity 37
51.81 deg, intensity 33
43.79 deg, intensity 32
25.88 deg, intensity 28
28.99 deg, intensity 27
24.94 deg, intensity 27

(12)
Ac6PtRh4: computed XRD peak list (copper Kα), based on the PBE geometry in Alexandria.
No peak broadening, texture or thermal motion is included.

Cell and atoms:
Cell lengths 6.0137, 6.0137, 9.6785 Å; angles 107.67, 107.67, 89.65 degrees
Fractional positions:
Ac 0.0000 0.0000 0.0000
Ac 0.3589 0.8687 0.7088
Ac 0.4400 0.9389 0.3548
Ac 0.5102 0.5102 0.9990
Ac 0.8687 0.3589 0.7088
Ac 0.9389 0.4400 0.3548
Pt 0.4368 0.4368 0.3511
Rh 0.0527 0.5318 0.0729
Rh 0.3375 0.3375 0.6340
Rh 0.5318 0.0527 0.0729
Rh 0.8199 0.8199 0.6354

Largest 10 diffraction maxima, by intensity, 10 to 80 degrees two-theta:
31.36 deg, intensity 100
30.66 deg, intensity 91
31.56 deg, intensity 89
36.43 deg, intensity 66
36.08 deg, intensity 62
42.39 deg, intensity 52
42.66 deg, intensity 49
29.34 deg, intensity 40
53.44 deg, intensity 39
29.71 deg, intensity 33